1.
For Ce2SiGePd6, the GGA-PBE geometry in Alexandria gives the calculated powder diffractogram in this record (Cu Kα X-rays).
Lines closer than 0.1° are merged.

Peak list (6 most intense, 10° ≤ 2θ ≤ 90°, in order of rising 2θ)
2θ/deg, d_spacing, intensity
35.10, 2.556, 39
35.28, 2.544, 39
39.09, 2.305, 98
40.05, 2.252, 100
41.80, 2.161, 57
42.44, 2.130, 54

Atomic structure:
a b c (Å): 5.4526 6.4292 6.5253
angles (deg): 76.12 65.36 64.99
Element x y z (fractional)
Ce  0.0036  0.2488  0.2434
Ce  0.9964  0.7512  0.7566
Si  0.5000  0.0000  0.5000
Ge  0.5000  0.5000  0.0000
Pd  0.0080  0.1941  0.7911
Pd  0.3369  0.4105  0.4158
Pd  0.4934  0.8067  0.2081
Pd  0.5066  0.1933  0.7919
Pd  0.6631  0.5895  0.5842
Pd  0.9920  0.8059  0.2089


2.
For Sr3Cd5In2Bi2, the GGA-PBE geometry in Alexandria gives the calculated powder diffractogram in this record (Cu Kα X-rays).
Lines closer than 0.1° are merged.

Peak list (6 most intense, 10° ≤ 2θ ≤ 90°, in order of rising 2θ)
2θ/deg, d_spacing, intensity
26.52, 3.361, 33
27.11, 3.290, 69
31.45, 2.845, 100
34.87, 2.573, 80
36.22, 2.480, 44
37.85, 2.377, 89

Atomic structure:
a b c (Å): 16.3391 16.3391 16.3391
angles (deg): 163.27 163.27 23.74
Element x y z (fractional)
Sr  0.0000  0.0000  0.0000
Sr  0.1660  0.1660  0.0000
Sr  0.8340  0.8340  0.0000
Cd  0.0770  0.5770  0.5000
Cd  0.4230  0.9230  0.5000
Cd  0.5000  0.5000  0.0000
Cd  0.5770  0.0770  0.5000
Cd  0.9230  0.4230  0.5000
In  0.3641  0.3641  0.0000
In  0.6359  0.6359  0.0000
Bi  0.2695  0.2695  0.0000
Bi  0.7305  0.7305  0.0000


3.
For Rb2LaRhCl6, the GGA-PBE geometry in Alexandria gives the calculated powder diffractogram in this record (Cu Kα X-rays).
Lines closer than 0.1° are merged.

Peak list (6 most intense, 10° ≤ 2θ ≤ 90°, in order of rising 2θ)
2θ/deg, d_spacing, intensity
22.41, 3.968, 100
24.80, 3.589, 38
28.05, 3.181, 45
35.36, 2.538, 49
42.27, 2.138, 36
45.73, 1.984, 42

Atomic structure:
a b c (Å): 8.1386 8.1386 8.1386
angles (deg): 127.66 127.66 77.18
Element x y z (fractional)
Rb  0.2500  0.7500  0.5000
Rb  0.7500  0.2500  0.5000
La  0.0000  0.0000  0.0000
Rh  0.5000  0.5000  0.0000
Cl  0.2186  0.2186  0.0000
Cl  0.2702  0.2702  0.5405
Cl  0.2702  0.7298  0.0000
Cl  0.7298  0.2702  0.0000
Cl  0.7298  0.7298  0.4595
Cl  0.7814  0.7814  0.0000